Entry 1:
# Cu4Ag2Pd5
Computed PXRD pattern, λ = 1.5418 Å (Cu Kα). Input: DFT lattice parameters and positions (GGA-PBE).
Intensities are scaled so that the largest is 100.

Top 8 peaks for 2θ from 10° to 90°, in order of rising 2θ:
38.10 deg, rel. 22; 40.03 deg, rel. 82; 40.24 deg, rel. 100; 41.14 deg, rel. 29; 42.19 deg, rel. 62; 44.77 deg, rel. 54; 48.58 deg, rel. 55; 66.65 deg, rel. 21

Atomic structure:
```
data_Cu4Ag2Pd5
_chemical_formula_sum 'Cu4 Ag2 Pd5'
_cell_length_a 5.6300
_cell_length_b 5.6300
_cell_length_c 7.8480
_cell_angle_alpha 120.29
_cell_angle_beta 120.29
_cell_angle_gamma 57.10
_space_group_name_H-M_alt 'P 1'
_space_group_IT_number 1
loop_
_space_group_symop_operation_xyz
'x,y,z'
loop_
_atom_site_label
_atom_site_type_symbol
_atom_site_fract_x
_atom_site_fract_y
_atom_site_fract_z
Cu1 Cu 0.2256 0.2256 0.1447
Cu2 Cu 0.2383 0.2383 0.4830
Cu3 Cu 0.7617 0.7617 0.5170
Cu4 Cu 0.7744 0.7744 0.8553
Ag1 Ag 0.2323 0.2323 0.8044
Ag2 Ag 0.7677 0.7677 0.1956
Pd1 Pd 0.2502 0.7399 0.8165
Pd2 Pd 0.2601 0.7498 0.1835
Pd3 Pd 0.5000 0.5000 0.5000
Pd4 Pd 0.7399 0.2502 0.8165
Pd5 Pd 0.7498 0.2601 0.1835
```



Entry 2:
# Cu2Ag3Pd7
Computed PXRD pattern, λ = 1.5418 Å (Cu Kα). Input: DFT lattice parameters and positions (GGA-PBE).
Intensities are scaled so that the largest is 100.

Top 8 peaks for 2θ from 10° to 90°, in order of rising 2θ:
39.32 deg, rel. 100; 39.52 deg, rel. 98; 45.42 deg, rel. 33; 46.04 deg, rel. 63; 66.67 deg, rel. 40; 79.78 deg, rel. 12; 80.55 deg, rel. 23; 80.93 deg, rel. 23

Atomic structure:
```
data_Cu2Ag3Pd7
_chemical_formula_sum 'Cu2 Ag3 Pd7'
_cell_length_a 9.2414
_cell_length_b 8.7911
_cell_length_c 4.8764
_cell_angle_alpha 79.48
_cell_angle_beta 69.27
_cell_angle_gamma 31.25
_space_group_name_H-M_alt 'P 1'
_space_group_IT_number 1
loop_
_space_group_symop_operation_xyz
'x,y,z'
loop_
_atom_site_label
_atom_site_type_symbol
_atom_site_fract_x
_atom_site_fract_y
_atom_site_fract_z
Cu1 Cu 0.1662 0.1662 0.8338
Cu2 Cu 0.8338 0.8338 0.1662
Ag1 Ag 0.0000 0.0000 0.0000
Ag2 Ag 0.3312 0.3312 0.6688
Ag3 Ag 0.6688 0.6688 0.3312
Pd1 Pd 0.0848 0.0848 0.4152
Pd2 Pd 0.2500 0.2500 0.2500
Pd3 Pd 0.4152 0.4152 0.0848
Pd4 Pd 0.5000 0.5000 0.5000
Pd5 Pd 0.5848 0.5848 0.9152
Pd6 Pd 0.7500 0.7500 0.7500
Pd7 Pd 0.9152 0.9152 0.5848
```



Entry 3:
# CuAgPd14
Computed PXRD pattern, λ = 1.5418 Å (Cu Kα). Input: DFT lattice parameters and positions (GGA-PBE).
Intensities are scaled so that the largest is 100.

Top 8 peaks for 2θ from 10° to 90°, in order of rising 2θ:
38.47 deg, rel. 20; 38.69 deg, rel. 45; 39.14 deg, rel. 58; 42.20 deg, rel. 58; 42.40 deg, rel. 100; 48.06 deg, rel. 24; 67.15 deg, rel. 22; 80.56 deg, rel. 31

Atomic structure:
```
data_CuAgPd14
_chemical_formula_sum 'Cu1 Ag1 Pd14'
_cell_length_a 9.2061
_cell_length_b 5.5763
_cell_length_c 5.5763
_cell_angle_alpha 59.61
_cell_angle_beta 90.00
_cell_angle_gamma 90.00
_space_group_name_H-M_alt 'P 1'
_space_group_IT_number 1
loop_
_space_group_symop_operation_xyz
'x,y,z'
loop_
_atom_site_label
_atom_site_type_symbol
_atom_site_fract_x
_atom_site_fract_y
_atom_site_fract_z
Cu1 Cu 0.0000 0.0000 0.0000
Ag1 Ag 0.0000 0.5014 0.5014
Pd1 Pd 0.0000 0.0004 0.5020
Pd2 Pd 0.0000 0.5020 0.0004
Pd3 Pd 0.2455 0.1624 0.1624
Pd4 Pd 0.2483 0.1616 0.6659
Pd5 Pd 0.2483 0.6659 0.1616
Pd6 Pd 0.2514 0.6645 0.6645
Pd7 Pd 0.5000 0.3272 0.8285
Pd8 Pd 0.5000 0.3277 0.3277
Pd9 Pd 0.5000 0.8285 0.3272
Pd10 Pd 0.5000 0.8285 0.8285
Pd11 Pd 0.7486 0.6645 0.6645
Pd12 Pd 0.7517 0.1616 0.6659
Pd13 Pd 0.7517 0.6659 0.1616
Pd14 Pd 0.7545 0.1624 0.1624
```



Entry 4:
# Cu6AgPd5
Computed PXRD pattern, λ = 1.5418 Å (Cu Kα). Input: DFT lattice parameters and positions (GGA-PBE).
Intensities are scaled so that the largest is 100.

Top 8 peaks for 2θ from 10° to 90°, in order of rising 2θ:
29.42 deg, rel. 7; 29.57 deg, rel. 3; 42.09 deg, rel. 50; 42.20 deg, rel. 100; 61.05 deg, rel. 16; 61.38 deg, rel. 8; 77.01 deg, rel. 31; 77.23 deg, rel. 15

Atomic structure:
```
data_Cu6AgPd5
_chemical_formula_sum 'Cu6 Ag1 Pd5'
_cell_length_a 6.7891
_cell_length_b 6.7891
_cell_length_c 6.0415
_cell_angle_alpha 90.02
_cell_angle_beta 90.02
_cell_angle_gamma 143.14
_space_group_name_H-M_alt 'P 1'
_space_group_IT_number 1
loop_
_space_group_symop_operation_xyz
'x,y,z'
loop_
_atom_site_label
_atom_site_type_symbol
_atom_site_fract_x
_atom_site_fract_y
_atom_site_fract_z
Cu1 Cu 0.9999 0.9999 0.2447
Cu2 Cu 0.0001 0.0001 0.7553
Cu3 Cu 0.3312 0.6689 0.2471
Cu4 Cu 0.3311 0.6688 0.7529
Cu5 Cu 0.6689 0.3312 0.2471
Cu6 Cu 0.6688 0.3311 0.7529
Ag1 Ag 0.5000 0.5000 0.5000
Pd1 Pd 0.1658 0.8342 0.0000
Pd2 Pd 0.1659 0.8341 0.5000
Pd3 Pd 0.5000 0.5000 0.0000
Pd4 Pd 0.8342 0.1658 0.0000
Pd5 Pd 0.8341 0.1659 0.5000
```



Entry 5:
# Cu3AgPd2
Computed PXRD pattern, λ = 1.5418 Å (Cu Kα). Input: DFT lattice parameters and positions (GGA-PBE).
Intensities are scaled so that the largest is 100.

Top 8 peaks for 2θ from 10° to 90°, in order of rising 2θ:
40.67 deg, rel. 100; 46.36 deg, rel. 17; 47.78 deg, rel. 31; 68.77 deg, rel. 20; 69.88 deg, rel. 9; 82.02 deg, rel. 12; 84.12 deg, rel. 22; 88.04 deg, rel. 10

Atomic structure:
```
data_Cu3AgPd2
_chemical_formula_sum 'Cu6 Ag2 Pd4'
_cell_length_a 4.7527
_cell_length_b 4.7527
_cell_length_c 8.9750
_cell_angle_alpha 111.05
_cell_angle_beta 111.05
_cell_angle_gamma 68.99
_space_group_name_H-M_alt 'P 1'
_space_group_IT_number 1
loop_
_space_group_symop_operation_xyz
'x,y,z'
loop_
_atom_site_label
_atom_site_type_symbol
_atom_site_fract_x
_atom_site_fract_y
_atom_site_fract_z
Cu1 Cu 0.1245 0.8755 0.7500
Cu2 Cu 0.2071 0.4576 0.9151
Cu3 Cu 0.4576 0.2071 0.4151
Cu4 Cu 0.5424 0.7929 0.5849
Cu5 Cu 0.7929 0.5424 0.0849
Cu6 Cu 0.8755 0.1245 0.2500
Ag1 Ag 0.3758 0.6242 0.2500
Ag2 Ag 0.6242 0.3758 0.7500
Pd1 Pd 0.0401 0.2906 0.5810
Pd2 Pd 0.2906 0.0401 0.0810
Pd3 Pd 0.7094 0.9599 0.9190
Pd4 Pd 0.9599 0.7094 0.4190
```



Entry 6:
# CuAg4Pd7
Computed PXRD pattern, λ = 1.5418 Å (Cu Kα). Input: DFT lattice parameters and positions (GGA-PBE).
Intensities are scaled so that the largest is 100.

Top 8 peaks for 2θ from 10° to 90°, in order of rising 2θ:
35.67 deg, rel. 2; 39.05 deg, rel. 100; 45.41 deg, rel. 47; 63.10 deg, rel. 2; 66.16 deg, rel. 28; 76.03 deg, rel. 2; 79.59 deg, rel. 32; 83.91 deg, rel. 9

Atomic structure:
```
data_CuAg4Pd7
_chemical_formula_sum 'Cu1 Ag4 Pd7'
_cell_length_a 2.8244
_cell_length_b 2.8244
_cell_length_c 27.6852
_cell_angle_alpha 90.00
_cell_angle_beta 90.00
_cell_angle_gamma 120.00
_space_group_name_H-M_alt 'P 1'
_space_group_IT_number 1
loop_
_space_group_symop_operation_xyz
'x,y,z'
loop_
_atom_site_label
_atom_site_type_symbol
_atom_site_fract_x
_atom_site_fract_y
_atom_site_fract_z
Cu1 Cu 0.0000 0.0000 0.0000
Ag1 Ag 0.3333 0.6667 0.1611
Ag2 Ag 0.3333 0.6667 0.4145
Ag3 Ag 0.6667 0.3333 0.5855
Ag4 Ag 0.6667 0.3333 0.8389
Pd1 Pd 0.0000 0.0000 0.2464
Pd2 Pd 0.0000 0.0000 0.5000
Pd3 Pd 0.0000 0.0000 0.7536
Pd4 Pd 0.3333 0.6667 0.6708
Pd5 Pd 0.3333 0.6667 0.9249
Pd6 Pd 0.6667 0.3333 0.0751
Pd7 Pd 0.6667 0.3333 0.3292
```



Entry 7:
# Cu3AgPd6
Computed PXRD pattern, λ = 1.5418 Å (Cu Kα). Input: DFT lattice parameters and positions (GGA-PBE).
Intensities are scaled so that the largest is 100.

Top 8 peaks for 2θ from 10° to 90°, in order of rising 2θ:
40.18 deg, rel. 100; 46.04 deg, rel. 35; 48.12 deg, rel. 13; 67.15 deg, rel. 11; 68.76 deg, rel. 13; 81.21 deg, rel. 18; 81.34 deg, rel. 6; 86.85 deg, rel. 5

Atomic structure:
```
data_Cu3AgPd6
_chemical_formula_sum 'Cu6 Ag2 Pd12'
_cell_length_a 8.5236
_cell_length_b 3.9458
_cell_length_c 8.7453
_cell_angle_alpha 90.00
_cell_angle_beta 91.82
_cell_angle_gamma 90.00
_space_group_name_H-M_alt 'P 1'
_space_group_IT_number 1
loop_
_space_group_symop_operation_xyz
'x,y,z'
loop_
_atom_site_label
_atom_site_type_symbol
_atom_site_fract_x
_atom_site_fract_y
_atom_site_fract_z
Cu1 Cu 0.0509 0.2500 0.3967
Cu2 Cu 0.1516 0.7500 0.1871
Cu3 Cu 0.2471 0.2500 0.9883
Cu4 Cu 0.7529 0.7500 0.0117
Cu5 Cu 0.8484 0.2500 0.8129
Cu6 Cu 0.9491 0.7500 0.6033
Ag1 Ag 0.4464 0.2500 0.5985
Ag2 Ag 0.5536 0.7500 0.4015
Pd1 Pd 0.0395 0.7500 0.8988
Pd2 Pd 0.1311 0.2500 0.6947
Pd3 Pd 0.2300 0.7500 0.4863
Pd4 Pd 0.3345 0.2500 0.2836
Pd5 Pd 0.3418 0.7500 0.7977
Pd6 Pd 0.4459 0.7500 0.0942
Pd7 Pd 0.5541 0.2500 0.9058
Pd8 Pd 0.6582 0.2500 0.2023
Pd9 Pd 0.6655 0.7500 0.7164
Pd10 Pd 0.7700 0.2500 0.5137
Pd11 Pd 0.8689 0.7500 0.3053
Pd12 Pd 0.9605 0.2500 0.1012
```



Entry 8:
# CuAg3Pd2
Computed PXRD pattern, λ = 1.5418 Å (Cu Kα). Input: DFT lattice parameters and positions (GGA-PBE).
Intensities are scaled so that the largest is 100.

Top 8 peaks for 2θ from 10° to 90°, in order of rising 2θ:
38.72 deg, rel. 100; 39.00 deg, rel. 49; 39.11 deg, rel. 49; 44.53 deg, rel. 33; 45.32 deg, rel. 32; 45.77 deg, rel. 30; 65.36 deg, rel. 20; 66.24 deg, rel. 19

Atomic structure:
```
data_CuAg3Pd2
_chemical_formula_sum 'Cu2 Ag6 Pd4'
_cell_length_a 4.8911
_cell_length_b 6.4408
_cell_length_c 6.9306
_cell_angle_alpha 112.07
_cell_angle_beta 90.18
_cell_angle_gamma 105.47
_space_group_name_H-M_alt 'P 1'
_space_group_IT_number 1
loop_
_space_group_symop_operation_xyz
'x,y,z'
loop_
_atom_site_label
_atom_site_type_symbol
_atom_site_fract_x
_atom_site_fract_y
_atom_site_fract_z
Cu1 Cu 0.1227 0.1134 0.3694
Cu2 Cu 0.8773 0.8866 0.6306
Ag1 Ag 0.0352 0.3631 0.7832
Ag2 Ag 0.2950 0.6300 0.5451
Ag3 Ag 0.3727 0.3711 0.1246
Ag4 Ag 0.6273 0.6289 0.8754
Ag5 Ag 0.7050 0.3700 0.4549
Ag6 Ag 0.9648 0.6369 0.2168
Pd1 Pd 0.2078 0.8804 0.9624
Pd2 Pd 0.4439 0.1158 0.7010
Pd3 Pd 0.5561 0.8842 0.2990
Pd4 Pd 0.7922 0.1196 0.0376
```